# Co2PdO5
Simulated PXRD pattern, λ = 1.5418 Å (Cu Kα). Input: DFT lattice parameters and positions (PBE+U).
Intensities are scaled so that the largest is 1000.

Peak list (8 most intense, 2θ = 10–90°, in order of rising 2θ)
2θ = 21.12°, rel. 295, (1 1 0)
2θ = 29.34°, rel. 218, (0 0 2)
2θ = 32.90°, rel. 1000, (1 1 -2)
2θ = 34.06°, rel. 931, (3 1 0)
2θ = 36.57°, rel. 256, (4 0 -2)
2θ = 38.42°, rel. 246, (0 2 0)
2θ = 54.08°, rel. 374, (4 2 -2)
2θ = 62.80°, rel. 189, (5 1 -4)

Structure:
a b c (Å): 10.563 4.686 6.738
angles (deg): 90.00 115.35 90.00
Space group C2/c (No. 15)
Unique sites:
Co1 0.190 0.007 0.380 (multiplicity 8)
Pd1 0.000 0.500 0.000 (multiplicity 4)
O1 0.000 0.206 0.250 (multiplicity 4)
O2 0.140 0.341 0.929 (multiplicity 8)
O3 0.190 0.185 0.630 (multiplicity 8)